No. 1
Pa5Al2: theoretical XRD peak list (Cu Kα), based on a cell relaxed with GGA-PBE.

Main lines, most intense first (2θ from 5° to 70°):
Position (°2θ)  d [Å]  Rel. int.  index
29.22  3.056  100  0 0 1
27.56  3.237  92  3 1 0
40.60  2.222  79  3 1 1
36.18  2.483  77  4 1 0
47.16  1.927  53  4 1 1
31.51  2.839  44  3 2 0
43.51  2.080  42  3 2 1
37.27  2.413  37  3 3 0
60.64  1.527  33  0 0 2
48.04  1.894  26  3 3 1

```
data_Pa5Al2
_chemical_formula_sum 'Pa10 Al4'
_space_group_name_H-M_alt 'P 4/m b m'
_space_group_IT_number 127
_space_group_name_Hall '-P 4 2ab'
_cell_length_a 10.236
_cell_length_b 10.236
_cell_length_c 3.056
_cell_angle_alpha 90.00
_cell_angle_beta 90.00
_cell_angle_gamma 90.00
loop_
_atom_site_label
_atom_site_type_symbol
_atom_site_fract_x
_atom_site_fract_y
_atom_site_fract_z
Pa1 Pa 0.000 0.500 0.000
Pa2 Pa 0.056 0.200 0.000
Al1 Al 0.182 0.682 0.500
```

No. 2
Tb2InPd6: theoretical XRD peak list (Cu Kα), based on a cell relaxed with GGA-PBE.

Main lines, most intense first (2θ from 5° to 70°):
Position (°2θ)  d [Å]  Rel. int.  index
37.06  2.426  100  2 2 1
33.22  2.697  70  1 3 1
43.59  2.076  52  0 0 2
36.03  2.493  47  0 4 1
45.07  2.012  24  2 4 1
40.37  2.234  23  3 1 0
34.04  2.634  16  2 0 1
53.80  1.704  15  4 0 0
38.44  2.342  14  1 5 0
39.17  2.300  14  2 4 0

```
data_Tb2InPd6
_chemical_formula_sum 'Tb4 In2 Pd12'
_space_group_name_H-M_alt 'C m m m'
_space_group_IT_number 65
_space_group_name_Hall '-C 2 2'
_cell_length_a 6.814
_cell_length_b 12.467
_cell_length_c 4.152
_cell_angle_alpha 90.00
_cell_angle_beta 90.00
_cell_angle_gamma 90.00
loop_
_atom_site_label
_atom_site_type_symbol
_atom_site_fract_x
_atom_site_fract_y
_atom_site_fract_z
Tb1 Tb 0.000 0.210 0.000
In1 In 0.000 0.000 0.500
Pd1 Pd 0.201 0.354 0.500
Pd2 Pd 0.219 0.500 0.000
```

No. 3
VFeSn: theoretical XRD peak list (Cu Kα), based on a cell relaxed with GGA-PBE.

Main lines, most intense first (2θ from 5° to 70°):
Position (°2θ)  d [Å]  Rel. int.  index
43.84  2.065  100  1 1 2
44.76  2.025  67  2 0 0
34.76  2.581  46  1 1 1
37.46  2.401  43  1 0 2
31.24  2.863  43  1 1 0
26.61  3.350  39  1 0 1
59.75  1.548  22  2 1 2
65.16  1.432  21  2 2 0
66.89  1.399  19  1 0 4
65.85  1.418  16  2 0 3

```
data_VFeSn
_chemical_formula_sum 'V2 Fe2 Sn2'
_space_group_name_H-M_alt 'P 4/n m m'
_space_group_IT_number 129
_cell_length_a 4.049
_cell_length_b 4.049
_cell_length_c 5.962
_cell_angle_alpha 90.00
_cell_angle_beta 90.00
_cell_angle_gamma 90.00
loop_
_space_group_symop_operation_xyz
'x,y,z'
'-x,-y,-z'
'-y+1/2,x,z'
'y+1/2,-x,-z'
'-x+1/2,-y+1/2,z'
'x+1/2,y+1/2,-z'
'y,-x+1/2,z'
'-y,x+1/2,-z'
'x+1/2,-y,-z'
'-x+1/2,y,z'
'-y,-x,-z'
'y,x,z'
'-x,y+1/2,-z'
'x,-y+1/2,z'
'y+1/2,x+1/2,-z'
'-y+1/2,-x+1/2,z'
loop_
_atom_site_label
_atom_site_type_symbol
_atom_site_fract_x
_atom_site_fract_y
_atom_site_fract_z
V1 V 0.250 0.250 0.220
Fe1 Fe 0.250 0.750 0.000
Sn1 Sn 0.250 0.250 0.690
```

No. 4
Pr3GaO5: theoretical XRD peak list (Cu Kα), based on a cell relaxed with GGA-PBE.

Main lines, most intense first (2θ from 5° to 70°):
Position (°2θ)  d [Å]  Rel. int.  index
30.94  2.890  100  2 0 2
37.72  2.385  65  2 1 3
28.85  3.094  56  0 0 4
31.45  2.845  52  2 1 1
52.45  1.744  28  2 0 6
38.98  2.311  25  2 2 0
49.21  1.852  22  2 2 4
43.81  2.067  22  3 1 0
48.17  1.889  19  2 1 5
24.03  3.703  17  1 1 2

```
data_Pr3GaO5
_chemical_formula_sum 'Pr12 Ga4 O20'
_space_group_name_H-M_alt 'I 4/m c m'
_space_group_IT_number 140
_space_group_name_Hall '-I 4 2c'
_cell_length_a 6.536
_cell_length_b 6.536
_cell_length_c 12.378
_cell_angle_alpha 90.00
_cell_angle_beta 90.00
_cell_angle_gamma 90.00
loop_
_atom_site_label
_atom_site_type_symbol
_atom_site_fract_x
_atom_site_fract_y
_atom_site_fract_z
Pr1 Pr 0.000 0.000 0.250
Pr2 Pr 0.172 0.328 0.000
Ga1 Ga 0.000 0.500 0.250
O1 O 0.000 0.000 0.000
O2 O 0.160 0.340 0.342
```

No. 5
SrMg3Ga: theoretical XRD peak list (Cu Kα), based on a cell relaxed with GGA-PBE.

Main lines, most intense first (2θ from 5° to 70°):
Position (°2θ)  d [Å]  Rel. int.  index
31.07  2.878  100  2 1 -1
40.26  2.240  74  0 2 0
30.32  2.948  65  1 1 -2
30.49  2.932  64  0 1 2
27.47  3.247  63  1 1 1
35.95  2.498  56  2 1 1
12.04  7.350  52  1 0 0
31.48  2.842  50  2 1 0
22.94  3.876  47  0 0 2
22.72  3.914  45  1 0 -2

```
data_SrMg3Ga
_chemical_formula_sum 'Sr2 Mg6 Ga2'
_space_group_name_H-M_alt 'P 1 m 1'
_space_group_IT_number 6
_space_group_name_Hall 'P -2y'
_cell_length_a 7.661
_cell_length_b 4.481
_cell_length_c 8.080
_cell_angle_alpha 90.00
_cell_angle_beta 106.37
_cell_angle_gamma 90.00
loop_
_atom_site_label
_atom_site_type_symbol
_atom_site_fract_x
_atom_site_fract_y
_atom_site_fract_z
Sr1 Sr 0.000 0.000 0.000
Sr2 Sr 0.388 0.500 0.354
Mg1 Mg 0.101 0.000 0.536
Mg2 Mg 0.287 0.500 0.820
Mg3 Mg 0.539 0.000 0.073
Mg4 Mg 0.541 0.000 0.702
Mg5 Mg 0.847 0.500 0.652
Mg6 Mg 0.849 0.500 0.281
Ga1 Ga 0.672 0.500 0.920
Ga2 Ga 0.716 0.000 0.434
```